# 1
For PmTl2GeS4, DFT lattice parameters and positions (PBE) gives the simulated XRD peak list in this record (Cu Kα, 1.54184 Å).
Lines closer than 0.1° are merged.

The 10 most intense peaks (2θ = 5–70°), low angle first:
2θ/deg, d/Å, intensity, h k l
24.07, 3.698, 43, 0 0 2
26.79, 3.328, 30, 2 0 0
27.02, 3.300, 58, 1 1 -1
30.25, 2.954, 50, 2 0 -2
30.48, 2.933, 100, 1 1 1
41.61, 2.170, 19, 2 0 2
41.75, 2.163, 38, 1 1 -3
45.15, 2.008, 34, 3 1 -1
51.81, 1.765, 24, 3 1 -3
55.71, 1.650, 18, 2 2 -2

Atomic structure:
Cell: 6.979 3.978 7.754 Å, 90.00 107.50 90.00°
Space group P2/m (No. 10)
Inequivalent atoms, fractional coordinates:
Pm: 0.000 0.000 0.000 x1
Tl: 0.000 0.500 0.500 x1
Tl: 0.500 0.000 0.500 x1
Ge: 0.500 0.500 0.000 x1
S: 0.253 0.500 0.199 x2
S: 0.284 0.000 0.806 x2

=====

# 2
For TePt3, DFT lattice parameters and positions (PBE) gives the simulated XRD peak list in this record (Cu Kα, 1.54184 Å).
Lines closer than 0.1° are merged.

The 10 most intense peaks (2θ = 5–70°), low angle first:
2θ/deg, d/Å, intensity, h k l
15.21, 5.826, 5, 1 1 0
37.66, 2.388, 100, 2 2 1
40.75, 2.214, 4, 1 3 1
43.38, 2.086, 18, 0 0 2
43.79, 2.067, 14, 0 4 0
44.13, 2.052, 17, 4 0 0
51.94, 1.761, 2, 3 3 1
63.34, 1.468, 10, 0 4 2
63.60, 1.463, 11, 4 0 2
63.92, 1.456, 9, 4 4 0

Atomic structure:
Cell: 8.209 8.269 4.171 Å, 90.00 90.00 90.00°
Space group Cmcm (No. 63)
Inequivalent atoms, fractional coordinates:
Te: 0.000 0.164 0.250 x4
Pt: 0.000 0.380 0.750 x4
Pt: 0.248 0.119 0.750 x8

=====

# 3
For PmZn2GaNi2, DFT lattice parameters and positions (PBE) gives the simulated XRD peak list in this record (Cu Kα, 1.54184 Å).
Lines closer than 0.1° are merged.

The 10 most intense peaks (2θ = 5–70°), low angle first:
2θ/deg, d/Å, intensity, h k l
20.18, 4.401, 11, 1 0 0
25.66, 3.471, 11, 1 0 1
28.68, 3.112, 43, 1 1 0
31.70, 2.823, 13, 0 0 2
32.86, 2.726, 47, 1 1 1
37.87, 2.376, 100, 1 0 2
41.01, 2.201, 74, 2 0 0
52.74, 1.736, 12, 2 0 2
57.04, 1.615, 59, 2 1 2
59.39, 1.556, 24, 2 2 0

Atomic structure:
Cell: 4.401 4.401 5.645 Å, 90.00 90.00 90.00°
Space group P4/mmm (No. 123)
Inequivalent atoms, fractional coordinates:
Pm: 0.000 0.000 0.000 x1
Zn: 0.500 0.500 0.248 x2
Ga: 0.000 0.000 0.500 x1
Ni: 0.000 0.500 0.500 x2

=====

# 4
For RbGe3P, DFT lattice parameters and positions (PBE) gives the simulated XRD peak list in this record (Cu Kα, 1.54184 Å).
Lines closer than 0.1° are merged.

The 10 most intense peaks (2θ = 5–70°), low angle first:
2θ/deg, d/Å, intensity, h k l
24.28, 3.666, 56, 1 1 -2
25.02, 3.558, 31, 0 2 1
26.22, 3.399, 100, 1 2 -1
30.10, 2.969, 36, 1 2 0
33.27, 2.693, 31, 2 0 -2
34.03, 2.635, 26, 0 3 1
35.30, 2.543, 61, 1 1 1
35.41, 2.535, 61, 1 1 -3
46.24, 1.963, 24, 2 1 -4
55.08, 1.667, 23, 1 5 -1

Atomic structure:
Cell: 5.385 8.765 8.118 Å, 90.00 131.34 90.00°
Space group Pc (No. 7)
Inequivalent atoms, fractional coordinates:
Rb: 0.000 0.089 0.000 x2
Ge: 0.263 0.337 0.741 x2
Ge: 0.657 0.260 0.499 x2
Ge: 0.778 0.337 0.256 x2
P: 0.363 0.472 0.499 x2

=====

# 5
For Nd2SmPb2, DFT lattice parameters and positions (PBE) gives the simulated XRD peak list in this record (Cu Kα, 1.54184 Å).
Lines closer than 0.1° are merged.

The 10 most intense peaks (2θ = 5–70°), low angle first:
2θ/deg, d/Å, intensity, h k l
27.22, 3.277, 26, 3 1 -1
27.56, 3.236, 37, 4 0 -2
28.57, 3.124, 35, 1 1 2
30.31, 2.949, 78, 1 1 -3
32.02, 2.795, 66, 3 1 -3
33.24, 2.695, 100, 3 1 1
35.34, 2.540, 33, 4 0 -4
36.24, 2.479, 60, 0 2 0
38.85, 2.318, 27, 5 1 -2
46.15, 1.967, 26, 4 2 -2

Atomic structure:
Cell: 13.119 4.957 11.172 Å, 90.00 116.05 90.00°
Space group C2/m (No. 12)
Inequivalent atoms, fractional coordinates:
Nd: 0.007 0.000 0.176 x4
Nd: 0.182 0.000 0.584 x4
Sm: 0.211 0.500 0.839 x4
Pb: 0.045 0.500 0.389 x4
Pb: 0.133 0.500 0.076 x4